Entry 1:
Computed powder XRD pattern
Compound: Li7Mn2Co3O12
Radiation: λ = 1.5418 Å (Cu Kα)
Structure: a crystal structure in the Materials Project, relaxed with GGA+U
Lines closer than 0.1° are merged.

Principal peaks in the range 10° ≤ 2θ ≤ 80°, in order of rising 2θ:
18.31°, I = 100
35.74°, I = 14
43.25°, I = 29
43.47°, I = 29
43.93°, I = 27
63.01°, I = 15

Cell and atoms:
```
24
Lattice="5.134 0.000 0.000 -1.674 5.649 0.000 -0.858 -1.834 7.429" Properties=species:S:1:pos:R:3 pbc="T T T"
Li 0.000 0.000 0.000
Li 1.695 0.495 3.709
Li 0.866 4.907 1.165
Li 0.866 1.782 6.206
Li 1.737 2.033 1.223
Li 1.736 -1.092 6.263
Li 0.908 3.320 3.720
Mn -1.664 4.116 2.457
Mn 4.266 -0.301 4.972
Co -0.837 2.825 0.000
Co -1.692 2.556 5.037
Co 4.294 1.259 2.392
O -0.110 1.399 4.292
O -0.980 4.371 4.297
O -0.135 0.020 6.722
O 0.789 0.135 1.925
O -0.089 3.113 1.898
O -0.864 2.738 6.702
O 3.466 1.076 0.727
O 2.692 0.702 5.531
O 1.814 3.680 5.504
O 2.737 3.794 0.707
O 3.582 -0.556 3.131
O 2.713 2.416 3.137
```



Entry 2:
Computed powder XRD pattern
Compound: Li6Mn3CoO10
Radiation: λ = 1.5418 Å (Cu Kα)
Structure: a crystal structure in the Materials Project, relaxed with GGA+U
Lines closer than 0.1° are merged.

Principal peaks in the range 10° ≤ 2θ ≤ 80°, in order of rising 2θ:
18.45°, I = 100
35.35°, I = 15
42.62°, I = 32
44.04°, I = 29
44.53°, I = 28
63.02°, I = 16

Cell and atoms:
```
20
Lattice="5.046 0.000 0.000 -0.944 5.069 0.000 -2.290 -2.309 6.941" Properties=species:S:1:pos:R:3 pbc="T T T"
Li 0.000 0.000 0.000
Li -1.609 1.369 3.472
Li -1.546 0.460 6.279
Li 0.813 1.838 2.004
Li 0.958 0.950 4.941
Li 3.376 2.279 0.654
Mn 0.086 -0.895 2.742
Mn 2.590 -0.436 1.341
Mn 2.669 -1.389 4.204
Co -0.710 3.175 5.604
O -2.402 2.285 5.107
O -0.774 -0.320 4.417
O 0.016 3.528 1.165
O 1.796 0.983 0.346
O 0.137 2.605 3.950
O 0.056 1.630 6.673
O 1.804 0.079 3.112
O 1.823 -0.740 5.773
O 2.463 3.151 2.436
O 4.121 0.640 1.710
```



Entry 3:
Computed powder XRD pattern
Compound: Li2Mn3CoO8
Radiation: λ = 1.5418 Å (Cu Kα)
Structure: a crystal structure in the Materials Project, relaxed with GGA+U
Lines closer than 0.1° are merged.

Principal peaks in the range 10° ≤ 2θ ≤ 80°, in order of rising 2θ:
18.39°, I = 100
18.95°, I = 25
35.85°, I = 32
43.67°, I = 68
62.66°, I = 21
64.26°, I = 20

Cell and atoms:
```
14
Lattice="2.965 1.712 4.683 -2.965 1.712 4.683 0.000 -3.424 4.683" Properties=species:S:1:pos:R:3 pbc="T T T"
Li 0.000 0.000 1.726
Li 0.000 0.000 12.322
Mn -1.483 -0.856 4.683
Mn -1.483 0.856 9.365
Mn 0.000 1.712 4.683
Co 0.000 0.000 7.024
O 0.000 0.000 3.648
O 0.000 -1.514 5.791
O -1.311 0.757 5.791
O -1.311 -0.757 8.257
O 1.311 0.757 5.791
O 1.311 -0.757 8.257
O 0.000 1.514 8.257
O 0.000 0.000 10.400
```